Record 1
Li4Mn3CoO8: theoretical X-ray diffraction stick pattern (Cu Kα (λ = 1.5418 Å)), based on a structure optimized by DFT (PBE+U).
Intensities are scaled so that the largest is 100.

Largest 10 diffraction maxima, in order of rising 2θ, 10 to 90 degrees two-theta:
- 18.13 deg, 4.892 Å, I 100
- 33.18 deg, 2.700 Å, I 21
- 36.09 deg, 2.489 Å, I 25
- 36.91 deg, 2.435 Å, I 9
- 39.63 deg, 2.274 Å, I 35
- 44.17 deg, 2.051 Å, I 50
- 46.24 deg, 1.963 Å, I 11
- 58.18 deg, 1.586 Å, I 9
- 60.62 deg, 1.528 Å, I 16
- 61.03 deg, 1.518 Å, I 16

a b c (Å): 5.3826 2.8829 9.8985
angles (deg): 90.00 94.96 90.00
Fractional positions:
Li (0.0000, 0.0000, 0.0000)
Li (0.2468, 0.5000, 0.2511)
Li (0.5000, 0.0000, 0.5000)
Li (0.7532, 0.5000, 0.7489)
Mn (0.2349, 0.0000, 0.7463)
Mn (0.5000, 0.5000, 0.0000)
Mn (0.7651, 0.0000, 0.2537)
Co (0.0000, 0.5000, 0.5000)
O (0.1255, 0.5000, 0.8619)
O (0.1298, 0.0000, 0.3865)
O (0.3411, 0.5000, 0.6288)
O (0.3861, 0.0000, 0.1145)
O (0.6139, 0.0000, 0.8855)
O (0.6589, 0.5000, 0.3712)
O (0.8702, 0.0000, 0.6135)
O (0.8745, 0.5000, 0.1381)


Record 2
Li4MnCo2O7: theoretical X-ray diffraction stick pattern (Cu Kα (λ = 1.5418 Å)), based on a structure optimized by DFT (PBE+U).
Intensities are scaled so that the largest is 100.

Largest 10 diffraction maxima, in order of rising 2θ, 10 to 90 degrees two-theta:
- 18.36 deg, 4.832 Å, I 100
- 35.30 deg, 2.543 Å, I 15
- 36.43 deg, 2.466 Å, I 13
- 36.57 deg, 2.457 Å, I 12
- 42.48 deg, 2.128 Å, I 31
- 44.11 deg, 2.053 Å, I 28
- 44.45 deg, 2.038 Å, I 26
- 62.61 deg, 1.484 Å, I 8
- 63.19 deg, 1.471 Å, I 8
- 63.31 deg, 1.469 Å, I 7

a b c (Å): 2.9447 5.1004 17.2736
angles (deg): 84.67 88.82 74.87
Fractional positions:
Li (0.0000, 0.0000, 0.0000)
Li (0.0000, 0.0000, 0.5000)
Li (0.1315, 0.7251, 0.2852)
Li (0.2658, 0.4345, 0.5630)
Li (0.4243, 0.1468, 0.8564)
Li (0.5757, 0.8532, 0.1436)
Li (0.7342, 0.5655, 0.4370)
Li (0.8685, 0.2749, 0.7148)
Mn (0.4287, 0.1463, 0.3611)
Mn (0.5713, 0.8537, 0.6389)
Co (0.1297, 0.7195, 0.7884)
Co (0.2918, 0.4292, 0.0713)
Co (0.7082, 0.5708, 0.9287)
Co (0.8703, 0.2805, 0.2116)
O (0.0384, 0.8984, 0.3874)
O (0.0388, 0.8420, 0.8923)
O (0.1829, 0.6026, 0.6803)
O (0.2376, 0.5536, 0.1746)
O (0.3576, 0.2866, 0.4549)
O (0.3739, 0.3091, 0.9681)
O (0.4952, 0.0188, 0.2512)
O (0.5048, 0.9812, 0.7488)
O (0.6261, 0.6909, 0.0319)
O (0.6424, 0.7134, 0.5451)
O (0.7624, 0.4464, 0.8254)
O (0.8171, 0.3974, 0.3197)
O (0.9612, 0.1580, 0.1077)
O (0.9616, 0.1016, 0.6126)


Record 3
Li3Mn3CoO8: theoretical X-ray diffraction stick pattern (Cu Kα (λ = 1.5418 Å)), based on a structure optimized by DFT (PBE+U).
Intensities are scaled so that the largest is 100.

Largest 10 diffraction maxima, in order of rising 2θ, 10 to 90 degrees two-theta:
- 17.98 deg, 4.933 Å, I 100
- 35.14 deg, 2.554 Å, I 13
- 36.04 deg, 2.492 Å, I 12
- 36.15 deg, 2.484 Å, I 11
- 37.43 deg, 2.403 Å, I 7
- 42.18 deg, 2.142 Å, I 22
- 43.46 deg, 2.082 Å, I 21
- 43.73 deg, 2.070 Å, I 20
- 61.94 deg, 1.498 Å, I 6
- 62.78 deg, 1.480 Å, I 11

a b c (Å): 5.9204 5.9455 10.1266
angles (deg): 73.15 88.62 61.06
Fractional positions:
Li (0.0000, 0.0000, 0.0000)
Li (0.0366, 0.0102, 0.4911)
Li (0.2705, 0.0079, 0.2290)
Li (0.4641, 0.0174, 0.9530)
Li (0.5324, 0.0108, 0.4671)
Li (0.7509, 0.0181, 0.7289)
Mn (0.0183, 0.5117, 0.4799)
Mn (0.2414, 0.5272, 0.7274)
Mn (0.2770, 0.4965, 0.2331)
Mn (0.5073, 0.5032, 0.9816)
Mn (0.7463, 0.5213, 0.7288)
Mn (0.7757, 0.5020, 0.2308)
Co (0.0085, 0.5109, 0.9800)
Co (0.5151, 0.5118, 0.4801)
O (0.0983, 0.3131, 0.8439)
O (0.1171, 0.7303, 0.8578)
O (0.1750, 0.2547, 0.3504)
O (0.1800, 0.7123, 0.3607)
O (0.3655, 0.3124, 0.5992)
O (0.3808, 0.7399, 0.1054)
O (0.3822, 0.2906, 0.1059)
O (0.4012, 0.7232, 0.6084)
O (0.5781, 0.2852, 0.8515)
O (0.6202, 0.3019, 0.3510)
O (0.6318, 0.7252, 0.8605)
O (0.6714, 0.7095, 0.3646)
O (0.8551, 0.3133, 0.5965)
O (0.8982, 0.2887, 0.0996)
O (0.9106, 0.7668, 0.6106)
O (0.9325, 0.7050, 0.1184)


Record 4
Li4MnCo2O7: theoretical X-ray diffraction stick pattern (Cu Kα (λ = 1.5418 Å)), based on a structure optimized by DFT (PBE+U).
Intensities are scaled so that the largest is 100.

Largest 10 diffraction maxima, in order of rising 2θ, 10 to 90 degrees two-theta:
- 18.26 deg, 4.857 Å, I 100
- 35.36 deg, 2.538 Å, I 15
- 36.22 deg, 2.480 Å, I 25
- 42.75 deg, 2.115 Å, I 28
- 43.83 deg, 2.066 Å, I 54
- 47.52 deg, 1.913 Å, I 12
- 57.63 deg, 1.599 Å, I 10
- 62.73 deg, 1.481 Å, I 14
- 63.05 deg, 1.474 Å, I 14
- 64.46 deg, 1.446 Å, I 8

a b c (Å): 7.8000 7.8000 13.0109
angles (deg): 118.21 118.21 21.36
Fractional positions:
Li (0.0000, 0.0000, 0.0000)
Li (0.0715, 0.0715, 0.3517)
Li (0.2144, 0.2144, 0.0730)
Li (0.3707, 0.3707, 0.8000)
Li (0.5043, 0.5043, 0.4957)
Li (0.6451, 0.6451, 0.2013)
Li (0.7946, 0.7946, 0.9334)
Li (0.9305, 0.9305, 0.6498)
Mn (0.1435, 0.1435, 0.7145)
Mn (0.4335, 0.4335, 0.1368)
Co (0.2900, 0.2900, 0.4261)
Co (0.5728, 0.5728, 0.8761)
Co (0.7215, 0.7215, 0.5731)
Co (0.8589, 0.8589, 0.2830)
O (0.0290, 0.0290, 0.1765)
O (0.1203, 0.1203, 0.5482)
O (0.1687, 0.1687, 0.8724)
O (0.2580, 0.2580, 0.2504)
O (0.3176, 0.3176, 0.6070)
O (0.3986, 0.3986, 0.9808)
O (0.4621, 0.4621, 0.3115)
O (0.5489, 0.5489, 0.6763)
O (0.6133, 0.6133, 0.0289)
O (0.6969, 0.6969, 0.4037)
O (0.7400, 0.7400, 0.7456)
O (0.8381, 0.8381, 0.1137)
O (0.8847, 0.8847, 0.4556)
O (0.9732, 0.9732, 0.8225)


Record 5
Li4MnCo2O7: theoretical X-ray diffraction stick pattern (Cu Kα (λ = 1.5418 Å)), based on a structure optimized by DFT (PBE+U).
Intensities are scaled so that the largest is 100.

Largest 10 diffraction maxima, in order of rising 2θ, 10 to 90 degrees two-theta:
- 18.34 deg, 4.837 Å, I 100
- 33.84 deg, 2.649 Å, I 21
- 36.61 deg, 2.454 Å, I 13
- 36.88 deg, 2.438 Å, I 15
- 40.54 deg, 2.225 Å, I 37
- 44.59 deg, 2.032 Å, I 27
- 44.99 deg, 2.015 Å, I 25
- 61.64 deg, 1.505 Å, I 8
- 62.00 deg, 1.497 Å, I 17
- 62.31 deg, 1.490 Å, I 8

a b c (Å): 4.9991 6.4659 8.0286
angles (deg): 85.48 82.70 83.43
Fractional positions:
Li (0.0000, 0.0000, 0.0000)
Li (0.0775, 0.8617, 0.3533)
Li (0.2136, 0.5775, 0.0693)
Li (0.3503, 0.2815, 0.7889)
Li (0.5000, 0.0000, 0.5000)
Li (0.6497, 0.7185, 0.2111)
Li (0.7864, 0.4225, 0.9307)
Li (0.9225, 0.1383, 0.6467)
Mn (0.2866, 0.4268, 0.4245)
Mn (0.7134, 0.5732, 0.5755)
Co (0.1398, 0.7157, 0.7188)
Co (0.4310, 0.1406, 0.1314)
Co (0.5690, 0.8594, 0.8686)
Co (0.8602, 0.2843, 0.2812)
O (0.0280, 0.4466, 0.6817)
O (0.1377, 0.2745, 0.0468)
O (0.1644, 0.1582, 0.3890)
O (0.2746, 0.9726, 0.7527)
O (0.3389, 0.8740, 0.1020)
O (0.4010, 0.6979, 0.4651)
O (0.4472, 0.5941, 0.8222)
O (0.5528, 0.4059, 0.1778)
O (0.5990, 0.3021, 0.5349)
O (0.6611, 0.1260, 0.8980)
O (0.7254, 0.0274, 0.2473)
O (0.8356, 0.8418, 0.6110)
O (0.8623, 0.7255, 0.9532)
O (0.9720, 0.5534, 0.3183)


Record 6
Li7Mn2Co3O12: theoretical X-ray diffraction stick pattern (Cu Kα (λ = 1.5418 Å)), based on a structure optimized by DFT (PBE+U).
Intensities are scaled so that the largest is 100.

Largest 10 diffraction maxima, in order of rising 2θ, 10 to 90 degrees two-theta:
- 15.46 deg, 5.731 Å, I 9
- 18.32 deg, 4.844 Å, I 100
- 35.79 deg, 2.509 Å, I 15
- 35.94 deg, 2.499 Å, I 13
- 36.35 deg, 2.472 Å, I 12
- 43.27 deg, 2.091 Å, I 30
- 43.44 deg, 2.083 Å, I 29
- 44.05 deg, 2.056 Å, I 27
- 47.70 deg, 1.906 Å, I 8
- 63.17 deg, 1.472 Å, I 15

a b c (Å): 5.8842 5.9230 6.5330
angles (deg): 75.93 77.04 89.78
Fractional positions:
Li (0.0000, 0.0000, 0.0000)
Li (0.0000, 0.5000, 0.0000)
Li (0.1634, 0.1639, 0.3263)
Li (0.3257, 0.8340, 0.6753)
Li (0.5000, 0.5000, 0.0000)
Li (0.6743, 0.1660, 0.3247)
Li (0.8366, 0.8361, 0.6737)
Mn (0.3324, 0.3287, 0.6677)
Mn (0.6676, 0.6713, 0.3323)
Co (0.1625, 0.6771, 0.3204)
Co (0.5000, 0.0000, 0.0000)
Co (0.8375, 0.3229, 0.6796)
O (0.0994, 0.1079, 0.6575)
O (0.0999, 0.5651, 0.6555)
O (0.2543, 0.7477, 0.0191)
O (0.2664, 0.2458, 0.9798)
O (0.4245, 0.4308, 0.3501)
O (0.4282, 0.9011, 0.3290)
O (0.5718, 0.0989, 0.6710)
O (0.5755, 0.5692, 0.6499)
O (0.7336, 0.7542, 0.0202)
O (0.7457, 0.2523, 0.9809)
O (0.9001, 0.4349, 0.3445)
O (0.9006, 0.8921, 0.3425)


Record 7
Li6Mn3CoO10: theoretical X-ray diffraction stick pattern (Cu Kα (λ = 1.5418 Å)), based on a structure optimized by DFT (PBE+U).
Intensities are scaled so that the largest is 100.

Largest 10 diffraction maxima, in order of rising 2θ, 10 to 90 degrees two-theta:
- 10.62 deg, 8.331 Å, I 19
- 17.74 deg, 4.999 Å, I 100
- 33.90 deg, 2.644 Å, I 20
- 36.27 deg, 2.477 Å, I 24
- 40.45 deg, 2.230 Å, I 38
- 43.79 deg, 2.067 Å, I 58
- 46.39 deg, 1.957 Å, I 11
- 57.16 deg, 1.612 Å, I 9
- 60.74 deg, 1.525 Å, I 18
- 61.51 deg, 1.508 Å, I 18

a b c (Å): 3.0243 3.0243 24.9956
angles (deg): 90.68 90.68 56.58
Fractional positions:
Li (0.0000, 0.0000, 0.0000)
Li (0.0948, 0.0948, 0.2976)
Li (0.3169, 0.3169, 0.9052)
Li (0.5024, 0.5024, 0.4996)
Li (0.6925, 0.6925, 0.0999)
Li (0.9025, 0.9025, 0.6995)
Mn (0.2015, 0.2015, 0.6004)
Mn (0.6051, 0.6051, 0.7984)
Mn (0.7998, 0.7998, 0.4003)
Co (0.4005, 0.4005, 0.2017)
O (0.0652, 0.0652, 0.1593)
O (0.1754, 0.1754, 0.4467)
O (0.2388, 0.2388, 0.7531)
O (0.3580, 0.3580, 0.0534)
O (0.4290, 0.4290, 0.3552)
O (0.5774, 0.5774, 0.6464)
O (0.6473, 0.6473, 0.9475)
O (0.7472, 0.7472, 0.2479)
O (0.8277, 0.8277, 0.5543)
O (0.9605, 0.9605, 0.8407)


Record 8
Li7Mn2Co3O12: theoretical X-ray diffraction stick pattern (Cu Kα (λ = 1.5418 Å)), based on a structure optimized by DFT (PBE+U).
Intensities are scaled so that the largest is 100.

Largest 10 diffraction maxima, in order of rising 2θ, 10 to 90 degrees two-theta:
- 18.40 deg, 4.821 Å, I 100
- 35.63 deg, 2.520 Å, I 16
- 36.20 deg, 2.481 Å, I 14
- 36.44 deg, 2.465 Å, I 13
- 37.78 deg, 2.381 Å, I 8
- 42.89 deg, 2.109 Å, I 30
- 43.99 deg, 2.058 Å, I 28
- 44.25 deg, 2.047 Å, I 27
- 47.59 deg, 1.911 Å, I 9
- 62.91 deg, 1.477 Å, I 15

a b c (Å): 5.1554 5.7880 7.6824
angles (deg): 79.52 71.42 89.97
Fractional positions:
Li (0.0000, 0.0000, 0.0000)
Li (0.0024, 0.5076, 0.9953)
Li (0.3331, 0.8300, 0.6694)
Li (0.3418, 0.3353, 0.6681)
Li (0.6757, 0.1644, 0.3404)
Li (0.6792, 0.6629, 0.3467)
Li (0.8429, 0.5829, 0.6702)
Mn (0.1788, 0.4137, 0.3403)
Mn (0.4997, 0.2489, 0.9986)
Co (0.1615, 0.9071, 0.3497)
Co (0.5054, 0.7498, 0.9934)
Co (0.8465, 0.0844, 0.6693)
O (0.0933, 0.6893, 0.1855)
O (0.1172, 0.2151, 0.1718)
O (0.2699, 0.6159, 0.4869)
O (0.2717, 0.1381, 0.4887)
O (0.4115, 0.0513, 0.8491)
O (0.4194, 0.5355, 0.8525)
O (0.5609, 0.9623, 0.1584)
O (0.5658, 0.4484, 0.1633)
O (0.7915, 0.8897, 0.5003)
O (0.8065, 0.3596, 0.4991)
O (0.8744, 0.2785, 0.8447)
O (0.8963, 0.8126, 0.8308)


Record 9
Li5MnCo2O8: theoretical X-ray diffraction stick pattern (Cu Kα (λ = 1.5418 Å)), based on a structure optimized by DFT (PBE+U).
Intensities are scaled so that the largest is 100.

Largest 10 diffraction maxima, in order of rising 2θ, 10 to 90 degrees two-theta:
- 17.67 deg, 5.020 Å, I 10
- 18.36 deg, 4.832 Å, I 100
- 35.77 deg, 2.510 Å, I 13
- 36.30 deg, 2.475 Å, I 25
- 43.52 deg, 2.080 Å, I 28
- 43.80 deg, 2.067 Å, I 56
- 48.02 deg, 1.895 Å, I 8
- 57.56 deg, 1.601 Å, I 14
- 62.66 deg, 1.483 Å, I 8
- 63.45 deg, 1.466 Å, I 30

a b c (Å): 5.1029 2.8830 9.8274
angles (deg): 90.00 100.37 90.00
Fractional positions:
Li (0.0000, 0.0000, 0.0000)
Li (0.2282, 0.5000, 0.2367)
Li (0.2534, 0.0000, 0.7552)
Li (0.7466, 0.0000, 0.2448)
Li (0.7718, 0.5000, 0.7633)
Mn (0.5000, 0.5000, 0.0000)
Co (0.0000, 0.5000, 0.5000)
Co (0.5000, 0.0000, 0.5000)
O (0.1198, 0.0000, 0.3841)
O (0.1566, 0.5000, 0.8835)
O (0.3810, 0.5000, 0.6127)
O (0.3869, 0.0000, 0.1107)
O (0.6131, 0.0000, 0.8893)
O (0.6190, 0.5000, 0.3873)
O (0.8434, 0.5000, 0.1165)
O (0.8802, 0.0000, 0.6159)


Record 10
Li7Mn2Co3O12: theoretical X-ray diffraction stick pattern (Cu Kα (λ = 1.5418 Å)), based on a structure optimized by DFT (PBE+U).
Intensities are scaled so that the largest is 100.

Largest 10 diffraction maxima, in order of rising 2θ, 10 to 90 degrees two-theta:
- 18.44 deg, 4.813 Å, I 100
- 35.21 deg, 2.549 Å, I 31
- 36.81 deg, 2.442 Å, I 12
- 37.31 deg, 2.410 Å, I 10
- 42.64 deg, 2.120 Å, I 64
- 45.03 deg, 2.013 Å, I 26
- 56.52 deg, 1.628 Å, I 10
- 61.56 deg, 1.506 Å, I 9
- 63.56 deg, 1.464 Å, I 15
- 63.93 deg, 1.456 Å, I 16

a b c (Å): 14.6385 14.6385 4.9950
angles (deg): 97.41 97.41 11.81
Fractional positions:
Li (0.0000, 0.0000, 0.0000)
Li (0.1686, 0.1686, 0.8261)
Li (0.3433, 0.3433, 0.6742)
Li (0.4214, 0.4214, 0.0808)
Li (0.5000, 0.5000, 0.4892)
Li (0.6682, 0.6682, 0.3240)
Li (0.8453, 0.8453, 0.1664)
Mn (0.2549, 0.2549, 0.2486)
Mn (0.7546, 0.7546, 0.7479)
Co (0.0861, 0.0861, 0.4129)
Co (0.5862, 0.5862, 0.9125)
Co (0.9213, 0.9213, 0.5816)
O (0.0486, 0.0486, 0.7030)
O (0.1257, 0.1257, 0.1272)
O (0.2156, 0.2156, 0.5327)
O (0.2937, 0.2937, 0.9634)
O (0.3847, 0.3847, 0.3940)
O (0.4573, 0.4573, 0.7665)
O (0.5479, 0.5479, 0.1991)
O (0.6251, 0.6251, 0.6266)
O (0.7160, 0.7160, 0.0314)
O (0.7921, 0.7921, 0.4599)
O (0.8839, 0.8839, 0.8401)
O (0.9584, 0.9584, 0.3226)